[1]
Structure and calculated PXRD pattern of Er3PaRh4 (the GGA-PBE geometry in Alexandria; copper Kα).

```
data_Er3PaRh4
_chemical_formula_sum 'Er9 Pa3 Rh12'
_cell_length_a 4.8886
_cell_length_b 4.8886
_cell_length_c 23.3919
_cell_angle_alpha 90.00
_cell_angle_beta 90.00
_cell_angle_gamma 120.00
_space_group_name_H-M_alt 'R -3 m'
_space_group_IT_number 166
_space_group_name_Hall '-R 3 2"'
loop_
_atom_site_label
_atom_site_type_symbol
_atom_site_fract_x
_atom_site_fract_y
_atom_site_fract_z
Er1 Er 0.0000 0.0000 0.0000
Er2 Er 0.0000 0.0000 0.2543
Pa1 Pa 0.0000 0.0000 0.5000
Rh1 Rh 0.0000 0.0000 0.1290
Rh2 Rh 0.0000 0.0000 0.3877
```

The 10 most intense peaks (10 to 80 degrees two-theta), low angle first:
3.429 Å, 2θ = 25.98°, I 172, (1 0 4)
2.444 Å, 2θ = 36.77°, I 1000, (1 1 0)
2.406 Å, 2θ = 37.38°, I 869, (0 1 8)
1.715 Å, 2θ = 53.44°, I 311, (2 0 8)
1.524 Å, 2θ = 60.77°, I 54, (1 1 12)
1.411 Å, 2θ = 66.22°, I 179, (3 0 0)
1.404 Å, 2θ = 66.62°, I 320, (1 2 8)
1.382 Å, 2θ = 67.82°, I 115, (1 0 16)
1.222 Å, 2θ = 78.22°, I 112, (2 2 0)
1.203 Å, 2θ = 79.71°, I 73, (0 2 16)

[2]
Structure and calculated PXRD pattern of ErTm2PaRu2 (the GGA-PBE geometry in Alexandria; copper Kα).

```
data_ErTm2PaRu2
_chemical_formula_sum 'Er4 Tm8 Pa4 Ru8'
_cell_length_a 15.137
_cell_length_b 6.755
_cell_length_c 6.659
_cell_angle_alpha 90.00
_cell_angle_beta 116.09
_cell_angle_gamma 90.00
_space_group_name_H-M_alt 'C 1 2/c 1'
_space_group_IT_number 15
_space_group_name_Hall '-C 2yc'
loop_
_atom_site_label
_atom_site_type_symbol
_atom_site_fract_x
_atom_site_fract_y
_atom_site_fract_z
Er1 Er 0.000 0.000 0.250
Tm1 Tm 0.196 0.303 0.196
Pa1 Pa 0.000 0.500 0.250
Ru1 Ru 0.105 0.294 0.605
```

The 10 most intense peaks (10 to 80 degrees two-theta), low angle first:
6.798 Å, 2θ = 13.02°, I 309, (2 0 0)
6.049 Å, 2θ = 14.64°, I 287, (1 1 0)
3.025 Å, 2θ = 29.53°, I 857, (2 2 0)
2.990 Å, 2θ = 29.88°, I 980, (0 0 2)
2.763 Å, 2θ = 32.41°, I 731, (3 1 1)
2.396 Å, 2θ = 37.54°, I 356, (4 2 0)
2.378 Å, 2θ = 37.83°, I 367, (6 0 -2)
2.371 Å, 2θ = 37.95°, I 1000, (2 2 -2)
2.044 Å, 2θ = 44.31°, I 341, (5 1 1)
1.665 Å, 2θ = 55.17°, I 214, (4 0 -4)

[3]
Structure and calculated PXRD pattern of Er2ScPaS4 (the GGA-PBE geometry in Alexandria; copper Kα).

```
data_Er2ScPaS4
_chemical_formula_sum 'Er2 Sc1 Pa1 S4'
_cell_length_a 6.642
_cell_length_b 3.805
_cell_length_c 6.672
_cell_angle_alpha 90.00
_cell_angle_beta 108.95
_cell_angle_gamma 90.00
_space_group_name_H-M_alt 'P 1 2/m 1'
_space_group_IT_number 10
_space_group_name_Hall '-P 2y'
loop_
_atom_site_label
_atom_site_type_symbol
_atom_site_fract_x
_atom_site_fract_y
_atom_site_fract_z
Er1 Er 0.000 0.000 0.000
Er2 Er 0.000 0.500 0.500
Sc1 Sc 0.500 0.000 0.500
Pa1 Pa 0.500 0.500 0.000
S1 S 0.249 0.000 0.741
S2 S 0.256 0.500 0.260
```

The 10 most intense peaks (10 to 80 degrees two-theta), low angle first:
6.307 Å, 2θ = 14.04°, I 146, (0 0 1)
3.155 Å, 2θ = 28.29°, I 200, (0 0 2)
3.141 Å, 2θ = 28.42°, I 197, (2 0 0)
3.113 Å, 2θ = 28.67°, I 385, (1 1 -1)
2.711 Å, 2θ = 33.04°, I 1000, (1 1 1)
1.934 Å, 2θ = 46.98°, I 122, (2 0 2)
1.920 Å, 2θ = 47.35°, I 239, (1 1 -3)
1.913 Å, 2θ = 47.52°, I 237, (3 1 -1)
1.628 Å, 2θ = 56.52°, I 125, (0 2 2)
1.557 Å, 2θ = 59.37°, I 121, (2 2 -2)

[4]
Structure and calculated PXRD pattern of ErPaSb2 (the GGA-PBE geometry in Alexandria; copper Kα).

```
data_ErPaSb2
_chemical_formula_sum 'Er3 Pa3 Sb6'
_cell_length_a 4.2862
_cell_length_b 4.2862
_cell_length_c 22.4228
_cell_angle_alpha 90.00
_cell_angle_beta 90.00
_cell_angle_gamma 120.00
_space_group_name_H-M_alt 'R 3 m'
_space_group_IT_number 160
_space_group_name_Hall 'R 3 -2"'
loop_
_atom_site_label
_atom_site_type_symbol
_atom_site_fract_x
_atom_site_fract_y
_atom_site_fract_z
Er1 Er 0.0000 0.0000 0.0000
Pa1 Pa 0.0000 0.0000 0.1734
Sb1 Sb 0.0000 0.0000 0.5873
Sb2 Sb 0.0000 0.0000 0.7542
```

The 10 most intense peaks (10 to 80 degrees two-theta), low angle first:
3.662 Å, 2θ = 24.30°, I 174, (1 0 1)
3.524 Å, 2θ = 25.27°, I 459, (0 1 2)
2.859 Å, 2θ = 31.28°, I 1000, (0 1 5)
2.425 Å, 2θ = 37.07°, I 526, (1 0 7)
2.143 Å, 2θ = 42.17°, I 576, (1 1 0)
1.715 Å, 2θ = 53.43°, I 224, (2 0 5)
1.606 Å, 2θ = 57.38°, I 149, (0 2 7)
1.408 Å, 2θ = 66.37°, I 290, (1 1 12)
1.339 Å, 2θ = 70.30°, I 197, (1 2 5)
1.285 Å, 2θ = 73.72°, I 143, (2 1 7)

Please write out number 2 again, unchanged.
Structure and calculated PXRD pattern of ErTm2PaRu2 (the GGA-PBE geometry in Alexandria; copper Kα).

```
data_ErTm2PaRu2
_chemical_formula_sum 'Er4 Tm8 Pa4 Ru8'
_cell_length_a 15.137
_cell_length_b 6.755
_cell_length_c 6.659
_cell_angle_alpha 90.00
_cell_angle_beta 116.09
_cell_angle_gamma 90.00
_space_group_name_H-M_alt 'C 1 2/c 1'
_space_group_IT_number 15
_space_group_name_Hall '-C 2yc'
loop_
_atom_site_label
_atom_site_type_symbol
_atom_site_fract_x
_atom_site_fract_y
_atom_site_fract_z
Er1 Er 0.000 0.000 0.250
Tm1 Tm 0.196 0.303 0.196
Pa1 Pa 0.000 0.500 0.250
Ru1 Ru 0.105 0.294 0.605
```

The 10 most intense peaks (10 to 80 degrees two-theta), low angle first:
6.798 Å, 2θ = 13.02°, I 309, (2 0 0)
6.049 Å, 2θ = 14.64°, I 287, (1 1 0)
3.025 Å, 2θ = 29.53°, I 857, (2 2 0)
2.990 Å, 2θ = 29.88°, I 980, (0 0 2)
2.763 Å, 2θ = 32.41°, I 731, (3 1 1)
2.396 Å, 2θ = 37.54°, I 356, (4 2 0)
2.378 Å, 2θ = 37.83°, I 367, (6 0 -2)
2.371 Å, 2θ = 37.95°, I 1000, (2 2 -2)
2.044 Å, 2θ = 44.31°, I 341, (5 1 1)
1.665 Å, 2θ = 55.17°, I 214, (4 0 -4)